Entry 1:
For FeH8Cl2O4, DFT lattice parameters and positions (PBE+U) gives the calculated powder X-ray diffraction pattern in this record (Cu Kα (weighted mean of Kα1 and Kα2)).
No peak broadening, texture or thermal motion is included.

Peak list (10 most intense, 2θ from 10° to 90°, by angle)
2θ/deg	I/Imax
16.11	1000
16.75	264
19.79	584
20.87	317
21.31	409
29.66	764
39.25	379
40.21	405
40.94	322
42.12	353

Structure:
abc: 5.832 7.325 9.184
angles: 90.00 114.80 90.00
Fractional positions:
Fe1 0.000 0.000 0.000
Fe2 0.000 0.500 0.500
H1 0.084 0.006 0.346
H2 0.084 0.494 0.846
H3 0.101 0.183 0.264
H4 0.101 0.317 0.764
H5 0.394 0.721 0.682
H6 0.394 0.779 0.182
H7 0.405 0.702 0.514
H8 0.405 0.798 0.014
H9 0.595 0.202 0.986
H10 0.595 0.298 0.486
H11 0.606 0.221 0.818
H12 0.606 0.279 0.318
H13 0.899 0.683 0.236
H14 0.899 0.817 0.736
H15 0.916 0.506 0.154
H16 0.916 0.994 0.654
Cl1 0.325 0.247 0.577
Cl2 0.325 0.253 0.077
Cl3 0.675 0.747 0.923
Cl4 0.675 0.753 0.423
O1 0.021 0.063 0.241
O2 0.021 0.437 0.741
O3 0.286 0.702 0.566
O4 0.286 0.798 0.066
O5 0.714 0.202 0.934
O6 0.714 0.298 0.434
O7 0.979 0.563 0.259
O8 0.979 0.937 0.759

***

Entry 2:
For AlNi2O4, DFT lattice parameters and positions (PBE+U) gives the calculated powder X-ray diffraction pattern in this record (Cu Kα (weighted mean of Kα1 and Kα2)).
No peak broadening, texture or thermal motion is included.

Peak list (10 most intense, 2θ from 10° to 90°, by angle)
2θ/deg	I/Imax
18.77	48
21.70	59
30.89	439
36.40	1000
44.21	83
54.93	132
58.55	255
58.68	95
64.37	428
76.24	79

Structure:
abc: 5.786 5.786 5.786
angles: 119.91 119.91 90.13
Fractional positions:
Al1 0.000 0.500 0.000
Al2 0.500 0.000 0.500
Ni1 0.000 0.000 0.000
Ni2 0.000 0.000 0.500
Ni3 0.379 0.621 0.750
Ni4 0.621 0.379 0.250
O1 0.226 0.259 0.992
O2 0.248 0.750 0.474
O3 0.250 0.752 0.026
O4 0.259 0.226 0.492
O5 0.741 0.774 0.508
O6 0.750 0.248 0.974
O7 0.752 0.250 0.526
O8 0.774 0.741 0.008

***

Entry 3:
For Sm4Fe3CoAs4O4, DFT lattice parameters and positions (PBE+U) gives the calculated powder X-ray diffraction pattern in this record (Cu Kα (weighted mean of Kα1 and Kα2)).
No peak broadening, texture or thermal motion is included.

Peak list (10 most intense, 2θ from 10° to 90°, by angle)
2θ/deg	I/Imax
29.59	1000
31.54	215
33.05	227
36.97	190
37.27	191
45.20	321
51.24	279
54.95	350
65.84	100
87.97	115

Structure:
abc: 4.012 4.012 18.338
angles: 90.00 90.00 90.00
Fractional positions:
Sm1 0.000 0.500 0.186
Sm2 0.000 0.500 0.689
Sm3 0.500 0.000 0.311
Sm4 0.500 0.000 0.814
Fe1 0.000 0.000 0.500
Fe2 0.500 0.500 0.000
Fe3 0.500 0.500 0.500
Co1 0.000 0.000 0.000
As1 0.000 0.500 0.409
As2 0.000 0.500 0.912
As3 0.500 0.000 0.088
As4 0.500 0.000 0.591
O1 0.000 0.000 0.249
O2 0.000 0.000 0.751
O3 0.500 0.500 0.249
O4 0.500 0.500 0.751